Starting from a PBE-relaxed structure, the powder diffraction line list of AcCdCuO4 was simulated for a wavelength of 1.5418 Å.
Kinematic intensities with the Lorentz-polarization factor, no thermal factor.

Principal peaks in the range 2θ = 10–90°, low angle first:
| 2θ/deg | I/Imax |
| --- | --- |
| 17.32 | 56.2 |
| 28.65 | 100.0 |
| 30.25 | 39.7 |
| 35.08 | 21.9 |
| 38.11 | 17.9 |
| 42.11 | 28.3 |
| 46.98 | 13.5 |
| 52.75 | 32.3 |
| 56.24 | 13.5 |
| 70.53 | 14.8 |

Structural model:
Unit cell a=7.094 b=7.094 c=7.094 alpha=130.75 beta=112.75 gamma=87.74
Sites, in units of the cell vectors:
Ac (0.000, 0.000, 0.000)
Ac (0.500, 0.000, 0.500)
Cd (0.468, 0.718, 0.750)
Cd (0.532, 0.282, 0.250)
Cu (0.000, 0.000, 0.500)
Cu (0.000, 0.500, 0.000)
O (0.142, 0.239, 0.903)
O (0.164, 0.761, 0.403)
O (0.335, 0.305, 0.470)
O (0.335, 0.865, 0.030)
O (0.665, 0.135, 0.970)
O (0.665, 0.695, 0.530)
O (0.836, 0.239, 0.597)
O (0.858, 0.761, 0.097)